Computed X-ray diffraction stick pattern
Compound: BaHg2Cl2O2
Radiation: a wavelength of 1.5418 Å
Structure: DFT lattice parameters and positions (PBE)

Structural model:
a b c (Å): 12.1813 12.1813 4.3429
angles (deg): 90.00 90.00 90.00
Sites, in units of the cell vectors:
Ba1 0.1357 0.3643 0.0000
Ba2 0.3643 0.8643 0.0000
Ba3 0.6357 0.1357 0.0000
Ba4 0.8643 0.6357 0.0000
Hg1 0.0794 0.8285 0.5000
Hg2 0.1715 0.0794 0.5000
Hg3 0.3285 0.5794 0.5000
Hg4 0.4206 0.3285 0.5000
Hg5 0.5794 0.6715 0.5000
Hg6 0.6715 0.4206 0.5000
Hg7 0.8285 0.9206 0.5000
Hg8 0.9206 0.1715 0.5000
Cl1 0.0000 0.0000 0.0000
Cl2 0.0000 0.5000 0.5000
Cl3 0.1750 0.6750 0.0000
Cl4 0.3250 0.1750 0.0000
Cl5 0.5000 0.0000 0.5000
Cl6 0.5000 0.5000 0.0000
Cl7 0.6750 0.8250 0.0000
Cl8 0.8250 0.3250 0.0000
O1 0.0836 0.2289 0.5000
O2 0.2289 0.9164 0.5000
O3 0.2711 0.4164 0.5000
O4 0.4164 0.7289 0.5000
O5 0.5836 0.2711 0.5000
O6 0.7289 0.5836 0.5000
O7 0.7711 0.0836 0.5000
O8 0.9164 0.7711 0.5000

Principal peaks in the range 15° ≤ 2θ ≤ 90°, by intensity:
31.03 deg, d = 2.882 Å, I = 100.0; 45.20 deg, d = 2.006 Å, I = 48.6; 26.38 deg, d = 3.378 Å, I = 48.3; 22.93 deg, d = 3.878 Å, I = 45.8; 36.79 deg, d = 2.443 Å, I = 39.3; 30.25 deg, d = 2.954 Å, I = 30.1; 26.24 deg, d = 3.396 Å, I = 27.4; 20.45 deg, d = 4.343 Å, I = 26.7

Computed X-ray diffraction stick pattern
Compound: BaTlHg2Cl8
Radiation: a wavelength of 1.5418 Å
Structure: DFT lattice parameters and positions (PBE)

Structural model:
a b c (Å): 9.0103 9.0103 9.0103
angles (deg): 134.79 134.79 65.86
Sites, in units of the cell vectors:
Ba1 0.0000 0.0000 0.0000
Tl1 0.2500 0.7500 0.5000
Hg1 0.5000 0.5000 0.0000
Hg2 0.7500 0.2500 0.5000
Cl1 0.0115 0.0586 0.4098
Cl2 0.2422 0.6756 0.0941
Cl3 0.3244 0.4185 0.5666
Cl4 0.3982 0.9885 0.0471
Cl5 0.5815 0.1481 0.9059
Cl6 0.6488 0.6018 0.5902
Cl7 0.8519 0.7578 0.4334
Cl8 0.9414 0.3512 0.9529

Principal peaks in the range 15° ≤ 2θ ≤ 90°, by intensity:
21.62 deg, d = 4.111 Å, I = 100.0; 35.14 deg, d = 2.554 Å, I = 40.6; 42.99 deg, d = 2.104 Å, I = 36.7; 40.23 deg, d = 2.241 Å, I = 21.9; 36.70 deg, d = 2.449 Å, I = 20.2; 55.58 deg, d = 1.653 Å, I = 15.4; 25.72 deg, d = 3.463 Å, I = 15.4; 44.05 deg, d = 2.056 Å, I = 13.0

Computed X-ray diffraction stick pattern
Compound: BaZnHgCl6
Radiation: a wavelength of 1.5418 Å
Structure: DFT lattice parameters and positions (PBE)

Structural model:
a b c (Å): 6.7936 6.7936 6.6476
angles (deg): 90.13 90.13 120.27
Sites, in units of the cell vectors:
Ba1 0.0000 0.0000 0.0000
Zn1 0.6659 0.3341 0.5000
Hg1 0.3336 0.6664 0.5000
Cl1 0.3813 0.0233 0.2791
Cl2 0.3806 0.3572 0.7203
Cl3 0.6419 0.0232 0.7205
Cl4 0.6428 0.6194 0.2797
Cl5 0.9768 0.3581 0.2795
Cl6 0.9767 0.6187 0.7209

Principal peaks in the range 15° ≤ 2θ ≤ 90°, by intensity:
20.17 deg, d = 4.402 Å, I = 100.0; 37.86 deg, d = 2.376 Å, I = 46.9; 26.24 deg, d = 3.397 Å, I = 18.4; 33.30 deg, d = 2.691 Å, I = 17.9; 42.86 deg, d = 2.110 Å, I = 16.3; 29.51 deg, d = 3.027 Å, I = 14.2; 46.43 deg, d = 1.956 Å, I = 14.2; 38.04 deg, d = 2.366 Å, I = 12.1

Computed X-ray diffraction stick pattern
Compound: Ba2HoCl7
Radiation: a wavelength of 1.5418 Å
Structure: DFT lattice parameters and positions (PBE)

Structural model:
a b c (Å): 6.9697 15.6453 10.6526
angles (deg): 90.00 90.65 90.00
Sites, in units of the cell vectors:
Ba1 0.2313 0.2194 0.4522
Ba2 0.2313 0.2806 0.9522
Ba3 0.2332 0.5599 0.3241
Ba4 0.2332 0.9401 0.8241
Ba5 0.7668 0.0599 0.1759
Ba6 0.7668 0.4401 0.6759
Ba7 0.7687 0.7194 0.0478
Ba8 0.7687 0.7806 0.5478
Ho1 0.2793 0.6274 0.7805
Ho2 0.2793 0.8726 0.2805
Ho3 0.7207 0.1274 0.7195
Ho4 0.7207 0.3726 0.2195
Cl1 0.0123 0.7420 0.3002
Cl2 0.0123 0.7580 0.8002
Cl3 0.0136 0.6059 0.5849
Cl4 0.0136 0.8941 0.0849
Cl5 0.1974 0.0387 0.2877
Cl6 0.1974 0.4613 0.7877
Cl7 0.1991 0.6373 0.0244
Cl8 0.1991 0.8627 0.5244
Cl9 0.3806 0.0701 0.6234
Cl10 0.3806 0.4299 0.1234
Cl11 0.4971 0.7276 0.2925
Cl12 0.4971 0.7724 0.7925
Cl13 0.4979 0.6045 0.5722
Cl14 0.4979 0.8955 0.0722
Cl15 0.5021 0.1045 0.9278
Cl16 0.5021 0.3955 0.4278
Cl17 0.5029 0.2276 0.2075
Cl18 0.5029 0.2724 0.7075
Cl19 0.6194 0.5701 0.8766
Cl20 0.6194 0.9299 0.3766
Cl21 0.8009 0.1373 0.4756
Cl22 0.8009 0.3627 0.9756
Cl23 0.8026 0.5387 0.2123
Cl24 0.8026 0.9613 0.7123
Cl25 0.9864 0.1059 0.9151
Cl26 0.9864 0.3941 0.4151
Cl27 0.9877 0.2420 0.1998
Cl28 0.9877 0.2580 0.6998

Principal peaks in the range 15° ≤ 2θ ≤ 90°, by intensity:
21.28 deg, d = 4.175 Å, I = 100.0; 35.43 deg, d = 2.534 Å, I = 82.6; 37.79 deg, d = 2.381 Å, I = 59.8; 21.64 deg, d = 4.106 Å, I = 57.7; 34.14 deg, d = 2.626 Å, I = 51.9; 42.63 deg, d = 2.121 Å, I = 41.2; 25.56 deg, d = 3.485 Å, I = 34.4; 21.11 deg, d = 4.209 Å, I = 33.1

Computed X-ray diffraction stick pattern
Compound: BaInCl
Radiation: a wavelength of 1.5418 Å
Structure: DFT lattice parameters and positions (PBE)

Structural model:
a b c (Å): 5.2516 5.2516 5.1734
angles (deg): 90.00 90.00 120.00
Sites, in units of the cell vectors:
Ba1 0.0000 0.0000 0.0000
In1 0.3333 0.6667 0.4989
Cl1 0.6667 0.3333 0.0176

Principal peaks in the range 15° ≤ 2θ ≤ 90°, by intensity:
26.09 deg, d = 3.416 Å, I = 100.0; 34.15 deg, d = 2.626 Å, I = 42.3; 49.46 deg, d = 1.843 Å, I = 28.4; 43.47 deg, d = 2.082 Å, I = 24.9; 56.40 deg, d = 1.631 Å, I = 22.7; 19.52 deg, d = 4.548 Å, I = 15.9; 34.68 deg, d = 2.587 Å, I = 13.4; 57.12 deg, d = 1.612 Å, I = 10.9

Computed X-ray diffraction stick pattern
Compound: BaIn3Cl12
Radiation: a wavelength of 1.5418 Å
Structure: DFT lattice parameters and positions (PBE)

Structural model:
a b c (Å): 13.6821 13.6821 13.6821
angles (deg): 48.69 48.69 48.69
Sites, in units of the cell vectors:
Ba1 0.0000 0.0000 0.0000
Ba2 0.5000 0.5000 0.5000
In1 0.0988 0.3655 0.7089
In2 0.2089 0.8655 0.5988
In3 0.3655 0.7089 0.0988
In4 0.5988 0.2089 0.8655
In5 0.7089 0.0988 0.3655
In6 0.8655 0.5988 0.2089
Cl1 0.0831 0.1025 0.4736
Cl2 0.1025 0.4736 0.0831
Cl3 0.1495 0.1906 0.6631
Cl4 0.1631 0.6906 0.6495
Cl5 0.1780 0.8207 0.8174
Cl6 0.1906 0.6631 0.1495
Cl7 0.2916 0.9599 0.9508
Cl8 0.3174 0.3207 0.6780
Cl9 0.3207 0.6780 0.3174
Cl10 0.4508 0.4599 0.7916
Cl11 0.4599 0.7916 0.4508
Cl12 0.4736 0.0831 0.1025
Cl13 0.5831 0.9736 0.6025
Cl14 0.6025 0.5831 0.9736
Cl15 0.6495 0.1631 0.6906
Cl16 0.6631 0.1495 0.1906
Cl17 0.6780 0.3174 0.3207
Cl18 0.6906 0.6495 0.1631
Cl19 0.7916 0.4508 0.4599
Cl20 0.8174 0.1780 0.8207
Cl21 0.8207 0.8174 0.1780
Cl22 0.9508 0.2916 0.9599
Cl23 0.9599 0.9508 0.2916
Cl24 0.9736 0.6025 0.5831

Principal peaks in the range 15° ≤ 2θ ≤ 90°, by intensity:
17.37 deg, d = 5.107 Å, I = 100.0; 21.60 deg, d = 4.113 Å, I = 49.7; 31.27 deg, d = 2.861 Å, I = 46.7; 27.39 deg, d = 3.256 Å, I = 28.4; 27.28 deg, d = 3.269 Å, I = 27.1; 45.17 deg, d = 2.007 Å, I = 26.6; 48.39 deg, d = 1.881 Å, I = 23.2; 40.80 deg, d = 2.212 Å, I = 20.7

Computed X-ray diffraction stick pattern
Compound: Ba3InS4Cl
Radiation: a wavelength of 1.5418 Å
Structure: DFT lattice parameters and positions (PBE)

Structural model:
a b c (Å): 9.4399 9.4399 9.4399
angles (deg): 126.56 126.56 78.97
Sites, in units of the cell vectors:
Ba1 0.1552 0.6552 0.8103
Ba2 0.2500 0.2500 0.0000
Ba3 0.3448 0.1552 0.5000
Ba4 0.6552 0.8448 0.5000
Ba5 0.7500 0.7500 0.0000
Ba6 0.8448 0.3448 0.1897
In1 0.2500 0.7500 0.5000
In2 0.7500 0.2500 0.5000
S1 0.0157 0.2002 0.5000
S2 0.2002 0.7002 0.1846
S3 0.2998 0.4843 0.5000
S4 0.4843 0.9843 0.1846
S5 0.5157 0.0157 0.8154
S6 0.7002 0.5157 0.5000
S7 0.7998 0.2998 0.8154
S8 0.9843 0.7998 0.5000
Cl1 0.0000 0.0000 0.0000
Cl2 0.5000 0.5000 0.0000

Principal peaks in the range 15° ≤ 2θ ≤ 90°, by intensity:
24.26 deg, d = 3.669 Å, I = 100.0; 29.87 deg, d = 2.991 Å, I = 83.1; 38.92 deg, d = 2.314 Å, I = 44.7; 24.44 deg, d = 3.643 Å, I = 35.3; 47.95 deg, d = 1.897 Å, I = 30.9; 29.77 deg, d = 3.001 Å, I = 28.3; 44.46 deg, d = 2.038 Å, I = 26.8; 33.38 deg, d = 2.685 Å, I = 25.1

Computed X-ray diffraction stick pattern
Compound: Ba3InSe4Cl
Radiation: a wavelength of 1.5418 Å
Structure: DFT lattice parameters and positions (PBE)

Structural model:
a b c (Å): 9.8225 9.8225 9.8225
angles (deg): 127.49 127.49 77.46
Sites, in units of the cell vectors:
Ba1 0.1543 0.6543 0.8087
Ba2 0.2500 0.2500 0.0000
Ba3 0.3457 0.1543 0.5000
Ba4 0.6543 0.8457 0.5000
Ba5 0.7500 0.7500 0.0000
Ba6 0.8457 0.3457 0.1913
In1 0.2500 0.7500 0.5000
In2 0.7500 0.2500 0.5000
Se1 0.0190 0.1967 0.5000
Se2 0.1967 0.6967 0.1778
Se3 0.3033 0.4810 0.5000
Se4 0.4810 0.9810 0.1778
Se5 0.5190 0.0190 0.8222
Se6 0.6967 0.5190 0.5000
Se7 0.8033 0.3033 0.8222
Se8 0.9810 0.8033 0.5000
Cl1 0.0000 0.0000 0.0000
Cl2 0.5000 0.5000 0.0000

Principal peaks in the range 15° ≤ 2θ ≤ 90°, by intensity:
28.86 deg, d = 3.093 Å, I = 100.0; 23.54 deg, d = 3.779 Å, I = 37.9; 32.58 deg, d = 2.748 Å, I = 27.1; 31.12 deg, d = 2.874 Å, I = 23.4; 29.06 deg, d = 3.073 Å, I = 20.2; 37.36 deg, d = 2.407 Å, I = 19.3; 46.61 deg, d = 1.948 Å, I = 16.8; 40.99 deg, d = 2.202 Å, I = 16.7

Computed X-ray diffraction stick pattern
Compound: Ba6Ir2Cl
Radiation: a wavelength of 1.5418 Å
Structure: DFT lattice parameters and positions (PBE)

Structural model:
a b c (Å): 9.1458 9.1458 9.1458
angles (deg): 51.08 51.08 51.08
Sites, in units of the cell vectors:
Ba1 0.0820 0.7139 0.4224
Ba2 0.2861 0.5776 0.9180
Ba3 0.4224 0.0820 0.7139
Ba4 0.5776 0.9180 0.2861
Ba5 0.7139 0.4224 0.0820
Ba6 0.9180 0.2861 0.5776
Ir1 0.3287 0.3287 0.3287
Ir2 0.6713 0.6713 0.6713
Cl1 0.5000 0.5000 0.5000

Principal peaks in the range 15° ≤ 2θ ≤ 90°, by intensity:
25.22 deg, d = 3.531 Å, I = 100.0; 32.01 deg, d = 2.796 Å, I = 70.8; 39.58 deg, d = 2.277 Å, I = 40.5; 41.10 deg, d = 2.196 Å, I = 33.1; 51.78 deg, d = 1.766 Å, I = 17.2; 47.52 deg, d = 1.913 Å, I = 16.3; 67.09 deg, d = 1.395 Å, I = 14.8; 62.07 deg, d = 1.495 Å, I = 13.7